(1)
Computed X-ray diffraction stick pattern
Compound: Pm3Nd2Hg4
Radiation: λ = 1.5418 Å (Cu Kα)
Structure: a DFT-relaxed cell (GGA-PBE, Alexandria)
Peak positions follow from Bragg's law for the DFT cell and can differ from measured ones.

Most intense lines, 2θ from 10° to 90°, by angle:
- 2θ 29.09, 3.070 Å, rel. 49, hkl 2 2 1
- 2θ 29.39, 3.039 Å, rel. 50, hkl 1 5 1
- 2θ 33.20, 2.698 Å, rel. 100, hkl 2 0 2
- 2θ 33.68, 2.661 Å, rel. 47, hkl 0 2 3
- 2θ 36.37, 2.470 Å, rel. 43, hkl 0 6 2
- 2θ 38.88, 2.317 Å, rel. 28, hkl 2 6 0
- 2θ 51.67, 1.769 Å, rel. 20, hkl 4 0 0
- 2θ 59.64, 1.550 Å, rel. 29, hkl 2 6 4

Crystal structure
Cell: 7.076 18.390 8.345 Å, 90.00 90.00 90.00°
Space group Cmce (No. 64)
Asymmetric unit:
Pm 0.000 0.000 0.000 (multiplicity 4)
Pm 0.250 0.240 0.250 (multiplicity 8)
Nd 0.000 0.095 0.586 (multiplicity 8)
Hg 0.000 0.166 0.970 (multiplicity 8)
Hg 0.250 0.067 0.250 (multiplicity 8)

---

(2)
Computed X-ray diffraction stick pattern
Compound: Li3Pm3PdO8
Radiation: λ = 1.5418 Å (Cu Kα)
Structure: a DFT-relaxed cell (GGA-PBE, Alexandria)
Peak positions follow from Bragg's law for the DFT cell and can differ from measured ones.

Most intense lines, 2θ from 10° to 90°, by angle:
- 2θ 15.97, 5.550 Å, rel. 100, hkl 1 1 0
- 2θ 17.09, 5.187 Å, rel. 34, hkl 2 0 -1
- 2θ 30.64, 2.918 Å, rel. 29, hkl 0 2 1
- 2θ 31.26, 2.861 Å, rel. 31, hkl 2 2 -1
- 2θ 32.26, 2.775 Å, rel. 46, hkl 2 2 0
- 2θ 38.02, 2.367 Å, rel. 25, hkl 4 0 0
- 2θ 38.16, 2.358 Å, rel. 49, hkl 2 2 -2
- 2θ 56.51, 1.629 Å, rel. 21, hkl 6 2 -2

Crystal structure
Cell: 11.118 6.851 6.521 Å, 90.00 121.63 90.00°
Space group C2/m (No. 12)
Asymmetric unit:
Li 0.000 0.000 0.000 (multiplicity 2)
Li 0.250 0.250 0.500 (multiplicity 4)
Pm 0.000 0.500 0.500 (multiplicity 2)
Pm 0.250 0.250 0.000 (multiplicity 4)
Pd 0.000 0.500 0.000 (multiplicity 2)
O 0.001 0.278 0.779 (multiplicity 8)
O 0.221 0.500 0.221 (multiplicity 4)
O 0.246 0.500 0.753 (multiplicity 4)

---

(3)
Computed X-ray diffraction stick pattern
Compound: Ba5Ta2Cl2O9
Radiation: λ = 1.5418 Å (Cu Kα)
Structure: a DFT-relaxed cell (GGA-PBE, Alexandria)
Peak positions follow from Bragg's law for the DFT cell and can differ from measured ones.

Most intense lines, 2θ from 10° to 90°, by angle:
- 2θ 18.36, 4.832 Å, rel. 35, hkl 1 0 2
- 2θ 24.56, 3.625 Å, rel. 28, hkl 1 0 5
- 2θ 27.27, 3.270 Å, rel. 22, hkl 1 0 6
- 2θ 29.56, 3.022 Å, rel. 100, hkl 1 1 0
- 2θ 30.19, 2.960 Å, rel. 38, hkl 1 0 7
- 2θ 41.47, 2.178 Å, rel. 29, hkl 1 1 8
- 2θ 42.76, 2.115 Å, rel. 22, hkl 2 0 7
- 2θ 52.44, 1.745 Å, rel. 20, hkl 3 0 0

Crystal structure
Cell: 6.0440 6.0440 25.1268 Å, 90.00 90.00 120.00°
Space group P6_3/mmc (No. 194)
Asymmetric unit:
Ba 0.3333 0.6667 0.0819 (multiplicity 4)
Ba 0.3333 0.6667 0.2500 (multiplicity 2)
Ba 0.3333 0.6667 0.6723 (multiplicity 4)
Ta 0.0000 0.0000 0.1897 (multiplicity 4)
Cl 0.3333 0.6667 0.5469 (multiplicity 4)
O 0.1479 0.2957 0.7500 (multiplicity 6)
O 0.1620 0.3241 0.1552 (multiplicity 12)

---

(4)
Computed X-ray diffraction stick pattern
Compound: La3Nd7Y2
Radiation: λ = 1.5418 Å (Cu Kα)
Structure: a DFT-relaxed cell (GGA-PBE, Alexandria)
Peak positions follow from Bragg's law for the DFT cell and can differ from measured ones.

Most intense lines, 2θ from 10° to 90°, by angle:
- 2θ 30.88, 2.896 Å, rel. 100, hkl 1 1 6
- 2θ 31.32, 2.856 Å, rel. 26, hkl 0 0 12
- 2θ 32.56, 2.750 Å, rel. 15, hkl 0 1 11
- 2θ 33.47, 2.677 Å, rel. 22, hkl 2 0 5
- 2θ 49.66, 1.836 Å, rel. 20, hkl 0 3 6
- 2θ 54.66, 1.679 Å, rel. 20, hkl 2 2 0
- 2θ 55.46, 1.657 Å, rel. 17, hkl 2 0 17
- 2θ 64.36, 1.448 Å, rel. 21, hkl 2 2 12

Crystal structure
Cell: 6.7163 6.7163 34.2747 Å, 90.00 90.00 120.00°
Space group R-3m (No. 166, hexagonal axes)
Asymmetric unit:
La 0.0000 0.0000 0.0000 (multiplicity 3)
La 0.0000 0.0000 0.1517 (multiplicity 6)
Nd 0.0000 0.0000 0.5000 (multiplicity 3)
Nd 0.0046 0.5023 0.9160 (multiplicity 18)
Y 0.0000 0.0000 0.3341 (multiplicity 6)

---

(5)
Computed X-ray diffraction stick pattern
Compound: Pm3SnBi2
Radiation: λ = 1.5418 Å (Cu Kα)
Structure: a DFT-relaxed cell (GGA-PBE, Alexandria)
Peak positions follow from Bragg's law for the DFT cell and can differ from measured ones.

Most intense lines, 2θ from 10° to 90°, by angle:
- 2θ 27.73, 3.216 Å, rel. 100, hkl 1 0 3
- 2θ 39.20, 2.298 Å, rel. 13, hkl 0 0 6
- 2θ 39.61, 2.275 Å, rel. 52, hkl 1 2 3
- 2θ 40.13, 2.247 Å, rel. 13, hkl 2 0 0
- 2θ 48.66, 1.871 Å, rel. 15, hkl 0 2 6
- 2θ 49.45, 1.843 Å, rel. 14, hkl 2 2 0
- 2θ 64.72, 1.440 Å, rel. 13, hkl 1 4 3
- 2θ 64.84, 1.438 Å, rel. 12, hkl 2 2 6

Crystal structure
Cell: 4.494 6.445 13.789 Å, 90.00 90.00 90.00°
Space group Immm (No. 71)
Asymmetric unit:
Pm 0.000 0.000 0.000 (multiplicity 2)
Pm 0.000 0.000 0.335 (multiplicity 4)
Sn 0.000 0.500 0.000 (multiplicity 2)
Bi 0.000 0.500 0.332 (multiplicity 4)

---

(6)
Computed X-ray diffraction stick pattern
Compound: Ac2GaNiIr
Radiation: λ = 1.5418 Å (Cu Kα)
Structure: a DFT-relaxed cell (GGA-PBE, Alexandria)
Peak positions follow from Bragg's law for the DFT cell and can differ from measured ones.

Most intense lines, 2θ from 10° to 90°, by angle:
- 2θ 21.42, 4.147 Å, rel. 24, hkl 1 0 1
- 2θ 25.81, 3.451 Å, rel. 29, hkl 0 0 4
- 2θ 29.04, 3.075 Å, rel. 100, hkl 1 1 0
- 2θ 32.43, 2.761 Å, rel. 26, hkl 0 0 5
- 2θ 39.24, 2.296 Å, rel. 68, hkl 1 1 4
- 2θ 41.54, 2.174 Å, rel. 56, hkl 2 0 0
- 2θ 44.08, 2.054 Å, rel. 26, hkl 1 1 5
- 2θ 53.66, 1.708 Å, rel. 26, hkl 2 0 5

Crystal structure
Cell: 4.348 4.348 13.805 Å, 90.00 90.00 90.00°
Space group P4/nmm (No. 129, origin choice 2)
Asymmetric unit:
Ac 0.250 0.250 0.104 (multiplicity 2)
Ac 0.250 0.250 0.673 (multiplicity 2)
Ga 0.250 0.250 0.418 (multiplicity 2)
Ni 0.250 0.750 0.500 (multiplicity 2)
Ir 0.250 0.250 0.882 (multiplicity 2)

---

(7)
Computed X-ray diffraction stick pattern
Compound: Sb4AsAu2
Radiation: λ = 1.5418 Å (Cu Kα)
Structure: a DFT-relaxed cell (GGA-PBE, Alexandria)
Peak positions follow from Bragg's law for the DFT cell and can differ from measured ones.

Most intense lines, 2θ from 10° to 90°, by angle:
- 2θ 12.95, 6.839 Å, rel. 45, hkl 1 1 1
- 2θ 24.33, 3.659 Å, rel. 100, hkl 1 3 1
- 2θ 26.81, 3.325 Å, rel. 54, hkl 3 1 1
- 2θ 27.84, 3.205 Å, rel. 34, hkl 0 0 4
- 2θ 31.42, 2.847 Å, rel. 24, hkl 1 3 3
- 2θ 36.49, 2.463 Å, rel. 38, hkl 4 2 0
- 2θ 36.77, 2.444 Å, rel. 25, hkl 1 1 5
- 2θ 44.02, 2.057 Å, rel. 33, hkl 3 1 5

Crystal structure
Cell: 10.763 12.248 12.820 Å, 90.00 90.00 90.00°
Space group Fdd2 (No. 43)
Asymmetric unit:
Sb 0.049 0.389 0.000 (multiplicity 16)
Sb 0.111 0.285 0.408 (multiplicity 16)
As 0.000 0.000 0.886 (multiplicity 8)
Au 0.046 0.329 0.207 (multiplicity 16)

---

(8)
Computed X-ray diffraction stick pattern
Compound: Nd2Mg5Sn3Pb2
Radiation: λ = 1.5418 Å (Cu Kα)
Structure: a DFT-relaxed cell (GGA-PBE, Alexandria)
Peak positions follow from Bragg's law for the DFT cell and can differ from measured ones.

Most intense lines, 2θ from 10° to 90°, by angle:
- 2θ 19.97, 4.446 Å, rel. 39, hkl 0 0 8
- 2θ 23.46, 3.791 Å, rel. 53, hkl 1 0 5
- 2θ 26.54, 3.359 Å, rel. 84, hkl 1 0 7
- 2θ 28.14, 3.171 Å, rel. 100, hkl 1 1 0
- 2θ 38.05, 2.365 Å, rel. 61, hkl 1 1 10
- 2θ 40.22, 2.242 Å, rel. 57, hkl 2 0 0
- 2θ 48.02, 1.895 Å, rel. 33, hkl 2 0 10
- 2θ 48.83, 1.865 Å, rel. 33, hkl 2 1 7

Crystal structure
Cell: 4.485 4.485 35.490 Å, 90.00 90.00 90.00°
Space group I4/mmm (No. 139)
Asymmetric unit:
Nd 0.000 0.000 0.213 (multiplicity 4)
Mg 0.000 0.000 0.000 (multiplicity 2)
Mg 0.000 0.500 0.138 (multiplicity 8)
Sn 0.000 0.000 0.305 (multiplicity 4)
Sn 0.000 0.000 0.500 (multiplicity 2)
Pb 0.000 0.000 0.081 (multiplicity 4)